Starting from a DFT-relaxed cell (GGA+U, Alexandria), the powder XRD pattern of LiVP2H2O8 was computed for Cu Kα (weighted mean of Kα1 and Kα2).
Kinematic intensities with the Lorentz-polarization factor, no thermal factor.

Cell and atoms:
Lattice parameters (Å, degrees): 9.5347 9.5347 8.7160 106.15 106.15 115.88
Positions (direct):
Li  0.1867  0.8133  0.5000
Li  0.3257  0.7116  0.0167
Li  0.7116  0.3257  0.5167
Li  0.8133  0.1867  0.0000
V  0.0714  0.7846  0.8203
V  0.2976  0.5124  0.2946
V  0.5124  0.2976  0.7946
V  0.7846  0.0714  0.3203
P  0.0771  0.0786  0.1671
P  0.0786  0.0771  0.6671
P  0.1207  0.4910  0.5826
P  0.4910  0.1207  0.0826
P  0.5275  0.9709  0.5432
P  0.5749  0.6380  0.1228
P  0.6380  0.5749  0.6228
P  0.9709  0.5275  0.0432
H  0.1368  0.2095  0.9511
H  0.2095  0.1368  0.4511
H  0.2574  0.4153  0.7523
H  0.4153  0.2574  0.2523
H  0.6477  0.8792  0.7197
H  0.7994  0.8076  0.8851
H  0.8076  0.7994  0.3851
H  0.8792  0.6477  0.2197
O  0.0040  0.9143  0.9926
O  0.0507  0.1678  0.8253
O  0.0623  0.4410  0.1107
O  0.0657  0.6339  0.9588
O  0.0960  0.9265  0.6782
O  0.1301  0.6634  0.6338
O  0.1678  0.0507  0.3253
O  0.2031  0.4640  0.4607
O  0.2173  0.2447  0.1685
O  0.2368  0.5117  0.7699
O  0.2447  0.2173  0.6685
O  0.3315  0.9294  0.9995
O  0.3794  0.7771  0.4160
O  0.3977  0.5424  0.1239
O  0.4410  0.0623  0.6107
O  0.4640  0.2031  0.9607
O  0.5117  0.2368  0.2699
O  0.5311  0.5715  0.4555
O  0.5424  0.3977  0.6239
O  0.5715  0.5311  0.9555
O  0.6087  0.8183  0.1423
O  0.6339  0.0657  0.4588
O  0.6592  0.9895  0.7218
O  0.6634  0.1301  0.1338
O  0.6738  0.7368  0.7842
O  0.7368  0.6738  0.2842
O  0.7771  0.3794  0.9160
O  0.8183  0.6087  0.6423
O  0.9143  0.0040  0.4926
O  0.9265  0.0960  0.1782
O  0.9294  0.3315  0.4995
O  0.9895  0.6592  0.2218

Top 8 peaks for 5° ≤ 2θ ≤ 70°, sorted by position:
2θ (°), d_spacing, I (rel.)
16.21, 5.467, 100
21.94, 4.052, 29
23.39, 3.804, 60
24.58, 3.622, 71
25.09, 3.549, 31
30.32, 2.948, 43
30.98, 2.887, 33
32.78, 2.732, 44